Record 1
Simulated X-ray powder pattern
Compound: Na5Cd3Hg3
Radiation: a wavelength of 1.5418 Å
Structure: a structure optimized by DFT (GGA-PBE)
Neutral-atom scattering factors, no anomalous dispersion.

Most intense lines, 5° ≤ 2θ ≤ 70°, in order of rising 2θ:
2θ (°), intensity
16.94, 100
19.59, 38
29.03, 30
32.28, 48
33.80, 24
35.71, 88
38.04, 58
44.34, 30
52.12, 25
68.45, 35

Cell and atoms:
```
data_Na5Cd3Hg3
_space_group_name_H-M_alt 'P -6 2 m'
_space_group_IT_number 189
_space_group_name_Hall 'P -6 -2'
_cell_length_a 10.4672
_cell_length_b 10.4672
_cell_length_c 3.2695
_cell_angle_alpha 90.00
_cell_angle_beta 90.00
_cell_angle_gamma 120.00
loop_
_atom_site_label
_atom_site_type_symbol
_atom_site_fract_x
_atom_site_fract_y
_atom_site_fract_z
_atom_site_occupancy
Na1 Na 0.0000 0.6573 0.0000 1
Na2 Na 0.3333 0.6667 0.0000 1
Cd1 Cd 0.0000 0.1649 0.0000 1
Hg1 Hg 0.0000 0.4074 0.5000 1
```



Record 2
Simulated X-ray powder pattern
Compound: La2TbAgC
Radiation: a wavelength of 1.5418 Å
Structure: a structure optimized by DFT (GGA-PBE)
Neutral-atom scattering factors, no anomalous dispersion.

Most intense lines, 5° ≤ 2θ ≤ 70°, in order of rising 2θ:
2θ (°), intensity
16.97, 2
24.89, 1
30.28, 100
34.33, 39
36.62, 16
49.34, 14
51.07, 25
59.00, 30
62.05, 13
62.99, 13

Cell and atoms:
```
data_La2TbAgC
_space_group_name_H-M_alt 'P 4 m m'
_space_group_IT_number 99
_space_group_name_Hall 'P 4 -2'
_cell_length_a 5.224
_cell_length_b 5.224
_cell_length_c 4.908
_cell_angle_alpha 90.00
_cell_angle_beta 90.00
_cell_angle_gamma 90.00
loop_
_atom_site_label
_atom_site_type_symbol
_atom_site_fract_x
_atom_site_fract_y
_atom_site_fract_z
_atom_site_occupancy
La1 La 0.000 0.500 0.000 1
Tb1 Tb 0.000 0.000 0.500 1
Ag1 Ag 0.500 0.500 0.506 1
C1 C 0.000 0.000 0.020 1
```



Record 3
Simulated X-ray powder pattern
Compound: SrLiCd
Radiation: a wavelength of 1.5418 Å
Structure: a structure optimized by DFT (GGA-PBE)
Neutral-atom scattering factors, no anomalous dispersion.

Most intense lines, 5° ≤ 2θ ≤ 70°, in order of rising 2θ:
2θ (°), intensity
10.05, 47
20.97, 55
29.27, 100
36.75, 62
37.29, 42
47.65, 25
48.47, 17
56.65, 18
61.65, 23
66.54, 14

Cell and atoms:
```
data_SrLiCd
_space_group_name_H-M_alt 'P -3 m 1'
_space_group_IT_number 164
_space_group_name_Hall '-P 3 2"'
_cell_length_a 4.8915
_cell_length_b 4.8915
_cell_length_c 8.7972
_cell_angle_alpha 90.00
_cell_angle_beta 90.00
_cell_angle_gamma 120.00
loop_
_atom_site_label
_atom_site_type_symbol
_atom_site_fract_x
_atom_site_fract_y
_atom_site_fract_z
_atom_site_occupancy
Sr1 Sr 0.3333 0.6667 0.3263 1
Li1 Li 0.0000 0.0000 0.1359 1
Cd1 Cd 0.3333 0.6667 0.9321 1
```